No. 1
Diffraction record for Zr4GePt. The powder diffraction line list is theoretical, not measured: it uses a PBE-relaxed structure and CuKα.
Peak positions follow from Bragg's law for the DFT cell and can differ from measured ones.

Atomic structure:
abc: 6.747 6.747 11.165
angles: 90.00 90.00 90.00
Space group I4/mcm (No. 140)
Inequivalent atoms, fractional coordinates:
Zr  0.158  0.342  0.137
Ge  0.000  0.000  0.000
Pt  0.000  0.000  0.250

Most intense lines, 2θ from 10° to 80°, in order of rising 2θ:
| (hkl) | d_spacing | Rel. int. |
| --- | --- | --- |
| 0 0 2 | 5.582 | 38.6 |
| 1 1 0 | 4.771 | 44.2 |
| 1 1 2 | 3.627 | 18.8 |
| 2 1 1 | 2.913 | 78.0 |
| 1 1 4 | 2.409 | 90.9 |
| 2 2 0 | 2.385 | 34.5 |
| 2 1 3 | 2.344 | 69.8 |
| 2 0 4 | 2.150 | 80.0 |
| 3 1 0 | 2.134 | 100.0 |
| 4 2 0 | 1.509 | 20.6 |
| 4 0 4 | 1.444 | 32.9 |
| 3 3 4 | 1.382 | 41.8 |

No. 2
Diffraction record for LiTcBi. The powder diffraction line list is theoretical, not measured: it uses a PBE-relaxed structure and CuKα.
Peak positions follow from Bragg's law for the DFT cell and can differ from measured ones.

Atomic structure:
abc: 3.289 3.289 10.592
angles: 90.00 90.00 90.00
Space group P4mm (No. 99)
Inequivalent atoms, fractional coordinates:
Li  0.000  0.000  0.000
Li  0.000  0.000  0.346
Tc  0.000  0.000  0.747
Tc  0.500  0.500  0.868
Bi  0.500  0.500  0.159
Bi  0.500  0.500  0.565

Most intense lines, 2θ from 10° to 80°, in order of rising 2θ:
| (hkl) | d_spacing | Rel. int. |
| --- | --- | --- |
| 0 0 2 | 5.296 | 40.6 |
| 0 0 3 | 3.531 | 36.5 |
| 1 0 0 | 3.289 | 75.4 |
| 1 0 2 | 2.794 | 47.5 |
| 1 0 3 | 2.407 | 100.0 |
| 1 1 0 | 2.326 | 72.2 |
| 1 1 2 | 2.129 | 17.1 |
| 1 0 4 | 2.063 | 32.5 |
| 1 1 3 | 1.942 | 28.7 |
| 2 0 0 | 1.645 | 25.1 |
| 1 1 5 | 1.566 | 19.2 |
| 2 1 3 | 1.358 | 33.4 |

No. 3
Diffraction record for LiPrP. The powder diffraction line list is theoretical, not measured: it uses a PBE-relaxed structure and CuKα.
Peak positions follow from Bragg's law for the DFT cell and can differ from measured ones.

Atomic structure:
abc: 4.1516 4.1516 4.0677
angles: 90.00 90.00 120.00
Space group P-6m2 (No. 187)
Inequivalent atoms, fractional coordinates:
Li  0.0000  0.0000  0.0000
Pr  0.3333  0.6667  0.5000
P  0.6667  0.3333  0.0000

Most intense lines, 2θ from 10° to 80°, in order of rising 2θ:
| (hkl) | d_spacing | Rel. int. |
| --- | --- | --- |
| 0 0 1 | 4.068 | 19.9 |
| 1 0 0 | 3.595 | 64.4 |
| 1 0 1 | 2.694 | 100.0 |
| 1 1 0 | 2.076 | 28.3 |
| 0 0 2 | 2.034 | 8.9 |
| 1 1 1 | 1.849 | 14.7 |
| 2 0 0 | 1.798 | 9.3 |
| 1 0 2 | 1.770 | 17.7 |
| 2 0 1 | 1.644 | 22.3 |
| 1 1 2 | 1.453 | 17.8 |
| 2 1 1 | 1.289 | 19.7 |
| 1 0 3 | 1.269 | 9.4 |

No. 4
Diffraction record for PrLuIn2. The powder diffraction line list is theoretical, not measured: it uses a PBE-relaxed structure and CuKα.
Peak positions follow from Bragg's law for the DFT cell and can differ from measured ones.

Atomic structure:
abc: 3.789 3.789 7.646
angles: 90.00 90.00 90.00
Space group P4/mmm (No. 123)
Inequivalent atoms, fractional coordinates:
Pr  0.000  0.000  0.000
Lu  0.000  0.000  0.500
In  0.500  0.500  0.271

Most intense lines, 2θ from 10° to 80°, in order of rising 2θ:
| (hkl) | d_spacing | Rel. int. |
| --- | --- | --- |
| 0 0 1 | 7.646 | 3.8 |
| 1 0 0 | 3.789 | 2.6 |
| 1 0 2 | 2.691 | 100.0 |
| 1 1 0 | 2.679 | 50.9 |
| 1 0 3 | 2.115 | 2.5 |
| 0 0 4 | 1.912 | 8.4 |
| 2 0 0 | 1.894 | 18.3 |
| 1 1 4 | 1.556 | 17.1 |
| 2 1 2 | 1.549 | 36.8 |
| 2 0 4 | 1.346 | 10.5 |
| 2 2 0 | 1.340 | 5.8 |
| 1 0 6 | 1.208 | 6.4 |

No. 5
Diffraction record for Li2UBe2O6. The powder diffraction line list is theoretical, not measured: it uses a PBE-relaxed structure and CuKα.
Peak positions follow from Bragg's law for the DFT cell and can differ from measured ones.

Atomic structure:
abc: 5.1276 5.1276 6.3197
angles: 90.00 90.00 120.00
Space group P-3 (No. 147)
Inequivalent atoms, fractional coordinates:
Li  0.3333  0.6667  0.2708
U  0.0000  0.0000  0.0000
Be  0.3333  0.6667  0.8047
O  0.0433  0.6904  0.8061

Most intense lines, 2θ from 10° to 80°, in order of rising 2θ:
| (hkl) | d_spacing | Rel. int. |
| --- | --- | --- |
| 0 0 1 | 6.320 | 86.0 |
| 1 0 0 | 4.441 | 71.9 |
| 1 0 1 | 3.633 | 100.0 |
| 1 0 2 | 2.575 | 45.8 |
| 1 1 0 | 2.564 | 16.4 |
| 2 -1 1 | 2.376 | 33.4 |
| 2 0 1 | 2.095 | 23.0 |
| 2 -1 2 | 1.991 | 23.5 |
| 0 1 3 | 1.903 | 18.0 |
| 2 0 2 | 1.817 | 17.0 |
| 3 -2 1 | 1.622 | 21.5 |
| 3 0 0 | 1.482 | 24.6 |

No. 6
Diffraction record for CaSc2H7. The powder diffraction line list is theoretical, not measured: it uses a PBE-relaxed structure and CuKα.
Peak positions follow from Bragg's law for the DFT cell and can differ from measured ones.

Atomic structure:
abc: 3.478 3.478 14.812
angles: 90.00 90.00 90.00
Space group I4/mmm (No. 139)
Inequivalent atoms, fractional coordinates:
Ca  0.000  0.000  0.000
Sc  0.000  0.000  0.335
H  0.000  0.000  0.500
H  0.000  0.500  0.101
H  0.000  0.500  0.250

Most intense lines, 2θ from 10° to 80°, in order of rising 2θ:
| (hkl) | d_spacing | Rel. int. |
| --- | --- | --- |
| 1 0 3 | 2.843 | 100.0 |
| 0 0 6 | 2.469 | 15.3 |
| 1 1 0 | 2.459 | 29.8 |
| 1 1 6 | 1.742 | 23.0 |
| 2 0 0 | 1.739 | 11.6 |
| 1 0 9 | 1.488 | 11.7 |
| 2 1 3 | 1.483 | 23.3 |
| 2 0 6 | 1.422 | 9.6 |
| 0 0 12 | 1.234 | 1.5 |
| 2 2 0 | 1.230 | 3.1 |

No. 7
Diffraction record for V8Cr3Ge2. The powder diffraction line list is theoretical, not measured: it uses a PBE-relaxed structure and CuKα.
Peak positions follow from Bragg's law for the DFT cell and can differ from measured ones.

Atomic structure:
abc: 11.538 7.811 4.275
angles: 90.00 96.14 90.00
Space group C2/m (No. 12)
Inequivalent atoms, fractional coordinates:
V  0.113  0.225  0.486
V  0.116  0.000  0.941
V  0.121  0.500  0.000
Cr  0.000  0.249  0.000
Cr  0.000  0.500  0.500
Ge  0.235  0.500  0.534

Most intense lines, 2θ from 10° to 80°, in order of rising 2θ:
| (hkl) | d_spacing | Rel. int. |
| --- | --- | --- |
| 2 0 -1 | 3.605 | 12.9 |
| 2 0 1 | 3.253 | 17.0 |
| 2 2 0 | 3.228 | 35.1 |
| 5 1 0 | 2.202 | 11.1 |
| 0 0 2 | 2.125 | 51.1 |
| 4 2 -1 | 2.109 | 100.0 |
| 4 2 1 | 1.961 | 78.1 |
| 0 4 0 | 1.953 | 39.3 |
| 0 4 2 | 1.438 | 23.3 |
| 8 0 0 | 1.434 | 11.1 |
| 4 2 -3 | 1.257 | 16.1 |
| 8 0 -2 | 1.252 | 9.3 |